Entry 1:
Diffraction record for Al2Ga3Ag6. The powder X-ray diffraction pattern is theoretical, not measured: it uses a GGA-PBE-relaxed structure and λ = 1.5418 Å (Cu Kα).
Intensities are scaled so that the largest is 100.

Structure:
Cell: 2.9874 2.9874 74.4192 Å, 90.00 90.00 120.00°
Space group R-3m (No. 166, hexagonal axes)
One atom of each set of equivalent atoms:
Al (0.0000, 0.0000, 0.0454) x6
Ga (0.0000, 0.0000, 0.2276) x6
Ga (0.0000, 0.0000, 0.5000) x3
Ag (0.0000, 0.0000, 0.1361) x6
Ag (0.0000, 0.0000, 0.3171) x6
Ag (0.0000, 0.0000, 0.4081) x6

Largest 12 diffraction maxima, low angle first, 2θ from 10° to 90°:
- 2θ 10.70, 8.269 Å, rel. 5.1
- 2θ 17.88, 4.961 Å, rel. 6.4
- 2θ 21.49, 4.134 Å, rel. 5.3
- 2θ 37.21, 2.416 Å, rel. 100.0
- 2θ 39.98, 2.255 Å, rel. 26.6
- 2θ 44.07, 2.055 Å, rel. 60.6
- 2θ 62.14, 1.494 Å, rel. 20.9
- 2θ 65.99, 1.416 Å, rel. 16.7
- 2θ 74.71, 1.271 Å, rel. 12.0
- 2θ 76.50, 1.245 Å, rel. 22.0
- 2θ 79.29, 1.208 Å, rel. 10.1
- 2θ 80.03, 1.199 Å, rel. 9.3

=====

Entry 2:
Diffraction record for TlIn11. The powder X-ray diffraction pattern is theoretical, not measured: it uses a GGA-PBE-relaxed structure and λ = 1.5418 Å (Cu Kα).
Intensities are scaled so that the largest is 100.

Structure:
Cell: 10.9409 10.9409 3.2013 Å, 90.00 90.00 120.00°
Space group P6/mmm (No. 191)
One atom of each set of equivalent atoms:
Tl (0.0000, 0.0000, 0.0000) x1
In (0.0000, 0.5000, 0.0000) x3
In (0.1721, 0.3441, 0.5000) x6
In (0.3333, 0.6667, 0.0000) x2

Largest 12 diffraction maxima, low angle first, 2θ from 10° to 90°:
- 2θ 32.40, 2.763 Å, rel. 28.2
- 2θ 32.74, 2.735 Å, rel. 100.0
- 2θ 33.79, 2.653 Å, rel. 51.6
- 2θ 40.11, 2.248 Å, rel. 16.0
- 2θ 47.76, 1.904 Å, rel. 19.0
- 2θ 52.70, 1.737 Å, rel. 13.9
- 2θ 58.44, 1.579 Å, rel. 17.9
- 2θ 59.12, 1.563 Å, rel. 19.6
- 2θ 67.84, 1.381 Å, rel. 23.2
- 2θ 68.62, 1.368 Å, rel. 10.9
- 2θ 78.72, 1.216 Å, rel. 8.2
- 2θ 86.59, 1.124 Å, rel. 11.9